Starting from DFT lattice parameters and positions (PBE), the powder diffractogram of Sr4SnBiO was calculated for Cu Kα (weighted mean of Kα1 and Kα2).
Intensities are scaled so that the largest is 100.

Atomic structure:
abc: 9.5506 9.5506 7.1385
angles: 90.00 90.00 136.10
Sites, in units of the cell vectors:
Sr 0.0000 0.5000 0.0000
Sr 0.0000 0.5000 0.5000
Sr 0.0775 0.9225 0.7500
Sr 0.4128 0.5872 0.7500
Sr 0.5000 0.0000 0.0000
Sr 0.5000 0.0000 0.5000
Sr 0.5872 0.4128 0.2500
Sr 0.9225 0.0775 0.2500
Sn 0.1142 0.8858 0.2500
Sn 0.8858 0.1142 0.7500
Bi 0.3897 0.6103 0.2500
Bi 0.6103 0.3897 0.7500
O 0.2589 0.7411 0.7500
O 0.7411 0.2589 0.2500

Top 10 peaks for 10° ≤ 2θ ≤ 80°, in order of rising 2θ:
Position (°2θ), I (rel.)
24.9, 37
26.9, 48
30.3, 26
30.8, 19
32.2, 100
35.6, 61
47.4, 30
51.2, 22
60.6, 14
61.8, 32